The following is a calculated X-ray diffraction stick pattern of Cs2NaYBr6. It was derived from a structure optimized by DFT (GGA-PBE), using Cu Kα.

Structural model:
Lattice parameters (Å, degrees): 11.512 11.512 11.512 90.00 90.00 90.00
Space group Fm-3m (No. 225)
Unique sites:
Cs 0.250 0.250 0.250 [8 per cell]
Na 0.000 0.000 0.000 [4 per cell]
Y 0.000 0.000 0.500 [4 per cell]
Br 0.000 0.000 0.257 [24 per cell]

The 10 most intense peaks (2θ = 10–90°), most intense first:
| (hkl) | two_theta | intensity |
| --- | --- | --- |
| 2 2 2 | 26.8 | 100 |
| 4 0 0 | 31.1 | 95 |
| 4 4 0 | 44.5 | 68 |
| 6 2 2 | 52.7 | 44 |
| 8 4 0 | 73.6 | 30 |
| 2 2 0 | 21.8 | 28 |
| 4 4 4 | 55.3 | 23 |
| 8 4 4 | 82.0 | 22 |
| 6 6 2 | 71.4 | 18 |
| 10 2 2 | 88.2 | 14 |